For Tm3Zn2Au3, the GGA-PBE geometry in Alexandria gives the theoretical powder XRD pattern in this record (Cu Kα (λ = 1.5418 Å)).
Lines closer than 0.1° are merged.

Structural model:
```
data_Tm3Zn2Au3
_space_group_name_H-M_alt 'P 63/m c m'
_space_group_IT_number 193
_space_group_name_Hall '-P 6c 2'
_cell_length_a 8.4377
_cell_length_b 8.4377
_cell_length_c 5.5613
_cell_angle_alpha 90.00
_cell_angle_beta 90.00
_cell_angle_gamma 120.00
loop_
_atom_site_label
_atom_site_fract_x
_atom_site_fract_y
_atom_site_fract_z
Tm1 0.0000 0.2709 0.2500
Zn1 0.3333 0.6667 0.0000
Au1 0.0000 0.3866 0.7500
```

Largest 8 diffraction maxima, by intensity, 2θ = 15–90°:
2θ = 36.32°, I = 1000, (2 1 1)
2θ = 36.90°, I = 661, (3 0 0)
2θ = 38.79°, I = 614, (1 1 2)
2θ = 21.06°, I = 410, (1 1 0)
2θ = 32.19°, I = 399, (0 0 2)
2θ = 47.76°, I = 324, (3 1 1)
2θ = 49.76°, I = 254, (3 0 2)
2θ = 60.11°, I = 235, (2 1 3)